The following is a calculated PXRD pattern of PmSm3Tc. It was derived from a crystal structure in Alexandria, relaxed with PBE, using a wavelength of 1.5418 Å.
Lines closer than 0.1° are merged.

```
PmSm3Tc
1.0
6.1678 -1.9967 0.0000
6.1678 1.9967 0.0000
-4.9088 0.0000 12.1415
Pm Sm Tc
2 6 2
Cartesian
0.0000 0.0000 0.0000
0.0017 0.0000 3.3958
-1.4079 0.0000 7.4695
-1.3778 0.0000 10.8488
3.5735 0.0000 4.6119
2.0649 0.0000 9.1324
8.8811 0.0000 1.7177
7.3501 0.0000 6.2533
4.7238 0.0000 1.7057
6.2137 0.0000 9.1334
```

Most intense lines, 10° ≤ 2θ ≤ 90°, by intensity:
2θ 32.5, intensity 100.0
2θ 30.3, intensity 97.6
2θ 31.5, intensity 86.8
2θ 31.3, intensity 77.7
2θ 34.3, intensity 54.3
2θ 34.0, intensity 52.8
2θ 45.4, intensity 50.5
2θ 31.8, intensity 50.4

***

The following is a calculated PXRD pattern of Tm3OsI3. It was derived from a crystal structure in Alexandria, relaxed with PBE, using a wavelength of 1.5418 Å.
Lines closer than 0.1° are merged.

```
Tm3OsI3
1.0
3.5225 2.0337 11.3651
-3.5225 2.0337 11.3651
0.0000 -4.0674 11.3651
Tm Os I
6 2 6
Cartesian
-2.4952 -0.0048 15.5374
-1.2435 -2.1633 18.5579
1.2517 -2.1586 15.5374
-1.2517 2.1586 18.5578
1.2435 2.1633 15.5374
2.4953 0.0048 18.5579
0.0000 0.0000 5.6793
0.0000 0.0000 28.4159
-1.1500 -1.9951 13.4474
-2.3028 -0.0016 20.6478
-1.1528 1.9934 13.4474
1.1528 -1.9934 20.6478
2.3028 0.0016 13.4474
1.1500 1.9951 20.6478
```

Most intense lines, 10° ≤ 2θ ≤ 90°, by intensity:
2θ 29.8, intensity 100.0
2θ 44.6, intensity 32.2
2θ 40.8, intensity 28.2
2θ 34.8, intensity 21.0
2θ 54.5, intensity 18.5
2θ 73.0, intensity 14.6
2θ 47.6, intensity 13.9
2θ 25.3, intensity 8.6

***

The following is a calculated PXRD pattern of YMn2PH. It was derived from a crystal structure in Alexandria, relaxed with PBE, using a wavelength of 1.5418 Å.
Lines closer than 0.1° are merged.

```
YMn2PH
1.0
5.1179 0.0000 0.0000
0.0000 5.1179 0.0000
0.0000 0.0000 3.7384
Y Mn P H
1 2 1 1
Cartesian
0.0000 0.0000 0.0000
0.0000 2.5589 0.0000
2.5589 0.0000 0.0000
2.5589 2.5589 1.8692
0.0000 0.0000 1.8692
```

Most intense lines, 10° ≤ 2θ ≤ 90°, by intensity:
2θ 35.1, intensity 100.0
2θ 29.6, intensity 83.2
2θ 23.8, intensity 73.1
2θ 42.8, intensity 59.4
2θ 46.5, intensity 45.4
2θ 17.3, intensity 38.7
2θ 61.4, intensity 35.3
2θ 50.4, intensity 33.3

***

The following is a calculated PXRD pattern of Ac2URu2. It was derived from a crystal structure in Alexandria, relaxed with PBE, using a wavelength of 1.5418 Å.
Lines closer than 0.1° are merged.

```
Ac2URu2
1.0
2.1889 1.2637 9.7503
-2.1889 1.2637 9.7503
0.0000 -2.5275 9.7503
Ac U Ru
2 1 2
Cartesian
0.0000 0.0000 2.1041
0.0000 0.0000 27.1469
0.0000 0.0000 14.6255
0.0000 0.0000 5.6233
0.0000 0.0000 23.6276
```

Most intense lines, 10° ≤ 2θ ≤ 90°, by intensity:
2θ 31.9, intensity 100.0
2θ 41.2, intensity 62.1
2θ 24.3, intensity 37.3
2θ 50.3, intensity 25.0
2θ 53.0, intensity 24.4
2θ 69.3, intensity 22.3
2θ 27.4, intensity 21.2
2θ 28.0, intensity 20.7

***

The following is a calculated PXRD pattern of AlPO4. It was derived from a crystal structure in Alexandria, relaxed with PBE, using a wavelength of 1.5418 Å.
Lines closer than 0.1° are merged.

```
AlPO4
1.0
10.5646 6.0995 1.6950
-10.5646 6.0995 1.6950
0.0000 -12.1989 1.6950
Al P O
6 6 24
Cartesian
-3.1449 -3.6307 1.5110
-1.5718 4.5389 1.5110
4.7167 -0.9083 1.5110
-4.7167 0.9082 3.5740
1.5718 -4.5389 3.5740
3.1449 3.6307 3.5740
-5.9007 -5.1793 2.2813
-7.4358 2.5205 2.8037
1.5351 -7.6999 2.8037
-1.5351 7.6998 2.2813
7.4358 -2.5205 2.2813
5.9007 5.1793 2.8037
-4.5799 -4.5981 1.7539
-6.9689 -4.0798 2.3862
-2.7251 -8.1302 1.9823
-8.4036 -1.7051 3.1026
-4.1766 0.1770 2.0735
-5.6785 6.4251 1.9823
-7.0177 3.9954 2.6988
0.0488 -8.0752 2.6988
-2.2416 -3.5286 3.0114
1.9351 -3.7055 2.0735
-6.2720 1.6673 3.3310
-1.6921 6.2654 1.7539
1.6921 -6.2654 3.3310
6.2720 -1.6673 1.7539
-1.9351 3.7055 3.0114
2.2415 3.5286 2.0735
-0.0488 8.0752 2.3862
7.0177 -3.9953 2.3862
5.6785 -6.4251 3.1026
4.1766 -0.1769 3.0114
8.4035 1.7051 1.9823
2.7251 8.1303 3.1026
6.9689 4.0798 2.6988
4.5799 4.5981 3.3310
```

Most intense lines, 10° ≤ 2θ ≤ 90°, by intensity:
2θ 22.3, intensity 100.0
2θ 20.0, intensity 66.4
2θ 21.7, intensity 51.3
2θ 31.3, intensity 33.7
2θ 27.6, intensity 17.3
2θ 16.8, intensity 16.6
2θ 34.6, intensity 15.0
2θ 14.5, intensity 14.5

***

The following is a calculated PXRD pattern of Rb3NaCd2H6. It was derived from a crystal structure in Alexandria, relaxed with PBE, using a wavelength of 1.5418 Å.
Lines closer than 0.1° are merged.

```
Rb3NaCd2H6
1.0
6.1683 0.0000 0.0000
-3.0842 5.3419 0.0000
0.0000 0.0000 7.6918
Rb Na Cd H
3 1 2 6
Cartesian
0.0000 0.0000 0.0000
0.0000 3.5613 5.1784
3.0842 1.7806 2.5134
0.0000 0.0000 3.8459
0.0000 3.5613 1.5895
3.0842 1.7806 6.1023
0.0000 1.8452 2.3850
-1.4861 4.4193 2.3850
1.5980 0.9226 5.3069
1.4861 4.4193 2.3850
4.5703 0.9226 5.3069
3.0842 3.4967 5.3069
```

Most intense lines, 10° ≤ 2θ ≤ 90°, by intensity:
2θ 29.0, intensity 100.0
2θ 28.6, intensity 92.4
2θ 51.1, intensity 35.4
2θ 41.1, intensity 35.2
2θ 51.3, intensity 19.5
2θ 50.4, intensity 16.8
2θ 20.2, intensity 16.3
2θ 67.8, intensity 14.9

***

The following is a calculated PXRD pattern of DyB11. It was derived from a crystal structure in Alexandria, relaxed with PBE, using a wavelength of 1.5418 Å.
Lines closer than 0.1° are merged.

```
DyB11
1.0
-3.4642 3.4642 4.4087
3.4642 -3.4642 4.4087
3.4642 3.4642 -4.4087
Dy B
2 22
Cartesian
3.4642 1.7321 1.1022
0.0000 1.7321 3.3065
0.0000 0.0000 0.0000
1.7321 1.7321 -2.2043
1.7321 -1.7321 2.2043
2.4913 -0.3911 1.5597
4.4372 -0.3911 1.5597
3.4642 -1.7321 3.3065
1.3410 0.7592 0.6447
5.5875 0.7592 0.6447
2.4913 3.0731 -1.5597
0.9730 -0.3911 2.8490
1.3410 2.7051 0.6447
2.1232 -0.7592 5.0533
0.0000 3.4642 0.0000
1.3410 4.2234 -0.6447
2.1232 0.7592 3.7640
2.4913 3.8553 1.5597
0.9730 0.3911 5.9683
-2.1232 2.7051 3.7640
2.1232 2.7051 3.7640
0.0000 5.1963 1.1022
-0.9730 3.8553 2.8490
0.9730 3.8553 2.8490
```

Most intense lines, 10° ≤ 2θ ≤ 90°, by intensity:
2θ 16.3, intensity 100.0
2θ 27.2, intensity 82.3
2θ 30.6, intensity 60.8
2θ 46.3, intensity 55.7
2θ 33.1, intensity 38.9
2θ 25.7, intensity 34.8
2θ 36.7, intensity 20.0
2θ 48.5, intensity 19.9

***

Question: Number 2 is which compound?
Answer: Tm3OsI3